No. 1
Diffraction record for LiNiC2O6. The powder diffractogram is calculated, not measured: it uses a crystal structure in the Materials Project, relaxed with GGA+U and Cu Kα X-rays.
Lines closer than 0.1° are merged.

```
LiNiC2O6
1.0
5.206 0.000 0.000
0.000 7.653 0.000
-2.594 0.000 5.924
Li Ni C O
2 2 4 12
direct
0.121 0.000 0.076 Li
0.879 0.500 0.924 Li
0.493 0.939 0.741 Ni
0.507 0.439 0.259 Ni
0.356 0.683 0.876 C
0.370 0.703 0.365 C
0.630 0.203 0.635 C
0.644 0.183 0.124 C
0.217 0.562 0.322 O
0.221 0.832 0.844 O
0.268 0.543 0.928 O
0.286 0.851 0.402 O
0.388 0.177 0.643 O
0.410 0.195 0.155 O
0.590 0.695 0.845 O
0.612 0.677 0.357 O
0.714 0.351 0.598 O
0.732 0.043 0.072 O
0.779 0.332 0.156 O
0.783 0.062 0.678 O
```

Principal peaks in the range 10 to 80 degrees two-theta, low angle first:
d/Å, Rel. int.
4.769, 100
4.685, 86
4.045, 78
2.962, 15
2.911, 19
2.762, 36
2.464, 19
2.249, 18
2.158, 15
1.912, 15


No. 2
Diffraction record for BaLaCoIrO6. The powder diffractogram is calculated, not measured: it uses a crystal structure in the Materials Project, relaxed with GGA+U and Cu Kα X-rays.
Lines closer than 0.1° are merged.

```
BaLaCoIrO6
1.0
5.672 0.000 0.000
-2.823 4.948 0.000
-2.764 -1.656 4.700
Ba La Co Ir O
1 1 1 1 6
direct
0.000 0.000 0.000 Ba
0.990 0.500 0.487 La
0.499 0.252 0.752 Co
0.503 0.748 0.252 Ir
0.014 0.531 0.050 O
0.414 0.507 0.915 O
0.518 0.472 0.461 O
0.537 0.984 0.542 O
0.545 0.054 0.071 O
0.989 0.935 0.474 O
```

Principal peaks in the range 10 to 80 degrees two-theta, low angle first:
d/Å, Rel. int.
4.665, 14
2.885, 32
2.869, 34
2.850, 100
2.836, 33
2.032, 19
2.026, 18
2.002, 17
1.654, 21
1.650, 14


No. 3
Diffraction record for Sr2YTlW2O7. The powder diffractogram is calculated, not measured: it uses a crystal structure in the Materials Project, relaxed with GGA+U and Cu Kα X-rays.
Lines closer than 0.1° are merged.

```
Sr2YTlW2O7
1.0
12.660 0.000 0.000
0.000 2.835 2.986
0.000 -2.835 2.986
Sr Y Tl W O
2 1 1 2 7
direct
0.183 0.000 0.000 Sr
0.817 0.000 0.000 Sr
0.500 0.018 0.018 Y
0.000 0.494 0.494 Tl
0.368 0.489 0.489 W
0.632 0.489 0.489 W
0.000 0.998 0.998 O
0.210 0.414 0.414 O
0.382 0.492 0.980 O
0.382 0.980 0.492 O
0.618 0.492 0.980 O
0.618 0.980 0.492 O
0.790 0.414 0.414 O
```

Principal peaks in the range 10 to 80 degrees two-theta, low angle first:
d/Å, Rel. int.
4.112, 22
2.986, 32
2.945, 100
2.835, 30
2.532, 10
2.156, 10
2.056, 30
1.716, 21
1.657, 19
1.596, 9